ZnCu2SiS4: computed X-ray diffraction stick pattern (Cu Kα X-rays), based on a structure optimized by DFT (PBE).

The 10 most intense peaks (15 to 90 degrees two-theta), most intense first:
hkl 2 1 0, 3.201 Å, 2θ = 27.9°, rel. 100; hkl 2 1 1, 2.840 Å, 2θ = 31.5°, rel. 96; hkl 0 0 2, 3.077 Å, 2θ = 29.0°, rel. 88; hkl 2 1 3, 1.727 Å, 2θ = 53.0°, rel. 76; hkl 2 3 0, 1.857 Å, 2θ = 49.0°, rel. 71; hkl 0 2 1, 2.857 Å, 2θ = 31.3°, rel. 48; hkl 0 2 0, 3.225 Å, 2θ = 27.7°, rel. 47; hkl 2 3 2, 1.590 Å, 2θ = 58.0°, rel. 42; hkl 0 2 3, 1.731 Å, 2θ = 52.9°, rel. 38; hkl 4 0 0, 1.843 Å, 2θ = 49.4°, rel. 38

Atomic structure:
```
ZnCu2SiS4
1.0
7.374 0.000 0.000
0.000 6.450 0.000
0.000 0.000 6.155
Zn Cu Si S
2 4 2 8
direct
0.000 0.151 0.000
0.500 0.849 0.500
0.248 0.327 0.492
0.252 0.673 0.992
0.748 0.673 0.992
0.752 0.327 0.492
0.000 0.829 0.501
0.500 0.171 0.001
0.000 0.145 0.616
0.000 0.818 0.150
0.237 0.665 0.620
0.263 0.335 0.120
0.500 0.182 0.650
0.500 0.855 0.116
0.737 0.335 0.120
0.763 0.665 0.620
```